# 1
This entry pairs a crystal structure of Ac8Pm2Mg with its calculated powder diffractogram. Radiation: a wavelength of 1.5418 Å. Structure: a crystal structure in Alexandria, relaxed with GGA-PBE.

Main lines, sorted by position (15 to 90 degrees two-theta):
- d 3.197, 27.91 deg, intensity 16, hkl 0 3 1
- d 3.154, 28.30 deg, intensity 26, hkl 1 1 4
- d 3.083, 28.96 deg, intensity 100, hkl 1 2 3
- d 2.932, 30.49 deg, intensity 31, hkl 2 0 0
- d 2.699, 33.19 deg, intensity 14, hkl 0 0 6
- d 1.720, 53.24 deg, intensity 22, hkl 3 2 3

Crystal structure
Cell: 5.8641 9.7829 16.1960 Å, 90.00 90.00 90.00°
Space group Immm (No. 71)
Unique sites:
Ac 0.0000 0.0000 0.1417 (multiplicity 4)
Ac 0.0000 0.2143 0.3453 (multiplicity 8)
Ac 0.0000 0.3166 0.0000 (multiplicity 4)
Pm 0.0000 0.5000 0.2049 (multiplicity 4)
Mg 0.0000 0.5000 0.5000 (multiplicity 2)

# 2
This entry pairs a crystal structure of AcPmMg6 with its calculated powder diffractogram. Radiation: a wavelength of 1.5418 Å. Structure: a crystal structure in Alexandria, relaxed with GGA-PBE.

Main lines, sorted by position (15 to 90 degrees two-theta):
- d 4.008, 22.18 deg, intensity 76, hkl 1 1 1
- d 3.873, 22.96 deg, intensity 51, hkl 1 0 2
- d 3.715, 23.95 deg, intensity 26, hkl 0 2 0
- d 3.415, 26.10 deg, intensity 28, hkl 0 1 3
- d 2.681, 33.42 deg, intensity 100, hkl 1 2 2
- d 2.613, 34.32 deg, intensity 27, hkl 2 0 0

Crystal structure
Cell: 5.2261 7.4301 11.5345 Å, 90.00 90.00 90.00°
Space group Amm2 (No. 38)
Unique sites:
Ac 0.0000 0.0000 0.0000 (multiplicity 2)
Pm 0.5000 0.0000 0.7192 (multiplicity 2)
Mg 0.0000 0.0000 0.5338 (multiplicity 2)
Mg 0.0000 0.2145 0.2659 (multiplicity 4)
Mg 0.5000 0.0000 0.1982 (multiplicity 2)
Mg 0.5000 0.2085 0.4538 (multiplicity 4)

# 3
This entry pairs a crystal structure of Ac2PmMg3Tl6 with its calculated powder diffractogram. Radiation: a wavelength of 1.5418 Å. Structure: a crystal structure in Alexandria, relaxed with GGA-PBE.

Main lines, sorted by position (15 to 90 degrees two-theta):
- d 3.372, 26.43 deg, intensity 69, hkl 1 0 4
- d 3.231, 27.61 deg, intensity 61, hkl 1 1 1
- d 2.930, 30.51 deg, intensity 100, hkl 1 1 3
- d 2.726, 32.86 deg, intensity 58, hkl 1 1 4
- d 2.402, 37.43 deg, intensity 48, hkl 1 0 7
- d 2.316, 38.89 deg, intensity 76, hkl 2 0 0

Crystal structure
Cell: 4.6317 4.6317 19.6705 Å, 90.00 90.00 90.00°
Space group P4/mmm (No. 123)
Unique sites:
Ac 0.0000 0.0000 0.2218 (multiplicity 2)
Pm 0.0000 0.0000 0.5000 (multiplicity 1)
Mg 0.5000 0.5000 0.0000 (multiplicity 1)
Mg 0.5000 0.5000 0.2868 (multiplicity 2)
Tl 0.0000 0.5000 0.3823 (multiplicity 4)
Tl 0.5000 0.5000 0.1405 (multiplicity 2)

# 4
This entry pairs a crystal structure of AcPmMgZn with its calculated powder diffractogram. Radiation: a wavelength of 1.5418 Å. Structure: a crystal structure in Alexandria, relaxed with GGA-PBE.

Main lines, sorted by position (15 to 90 degrees two-theta):
- d 3.886, 22.89 deg, intensity 40, hkl 2 0 0
- d 2.748, 32.59 deg, intensity 100, hkl 2 2 0
- d 1.943, 46.76 deg, intensity 18, hkl 4 0 0
- d 1.738, 52.67 deg, intensity 18, hkl 4 2 0
- d 1.586, 58.15 deg, intensity 38, hkl 4 2 2
- d 1.229, 77.72 deg, intensity 16, hkl 6 2 0

Crystal structure
Cell: 7.7714 7.7714 7.7714 Å, 90.00 90.00 90.00°
Space group F-43m (No. 216)
Unique sites:
Ac 0.0000 0.0000 0.0000 (multiplicity 4)
Pm 0.0000 0.0000 0.5000 (multiplicity 4)
Mg 0.2500 0.2500 0.2500 (multiplicity 4)
Zn 0.2500 0.2500 0.7500 (multiplicity 4)

# 5
This entry pairs a crystal structure of Ac2Pr3Mg3 with its calculated powder diffractogram. Radiation: a wavelength of 1.5418 Å. Structure: a crystal structure in Alexandria, relaxed with GGA-PBE.

Main lines, sorted by position (15 to 90 degrees two-theta):
- d 3.983, 22.32 deg, intensity 16, hkl 1 0 1
- d 3.645, 24.42 deg, intensity 34, hkl 0 1 5
- d 2.949, 30.30 deg, intensity 18, hkl 0 0 8
- d 2.883, 31.02 deg, intensity 100, hkl 1 1 4
- d 2.870, 31.16 deg, intensity 28, hkl 0 2 0
- d 1.659, 55.37 deg, intensity 23, hkl 1 3 4

Crystal structure
Cell: 4.0415 5.7398 23.5957 Å, 90.00 90.00 90.00°
Space group Immm (No. 71)
Unique sites:
Ac 0.0000 0.0000 0.2312 (multiplicity 4)
Pr 0.0000 0.0000 0.0000 (multiplicity 2)
Pr 0.0000 0.5000 0.1189 (multiplicity 4)
Mg 0.0000 0.0000 0.5000 (multiplicity 2)
Mg 0.0000 0.5000 0.3890 (multiplicity 4)

# 6
This entry pairs a crystal structure of AcPrMg with its calculated powder diffractogram. Radiation: a wavelength of 1.5418 Å. Structure: a crystal structure in Alexandria, relaxed with GGA-PBE.

Main lines, sorted by position (15 to 90 degrees two-theta):
- d 4.964, 17.87 deg, intensity 50, hkl 1 0 0
- d 2.951, 30.29 deg, intensity 100, hkl 1 0 1
- d 2.866, 31.21 deg, intensity 69, hkl 1 1 0
- d 2.056, 44.04 deg, intensity 36, hkl 0 2 1
- d 1.671, 54.96 deg, intensity 38, hkl 2 1 1
- d 1.289, 73.46 deg, intensity 16, hkl 1 3 1

Crystal structure
Cell: 5.7324 5.7324 3.6693 Å, 90.00 90.00 120.00°
Space group P3m1 (No. 156)
Unique sites:
Ac 0.0000 0.0000 0.0000 (multiplicity 1)
Pr 0.3333 0.6667 0.5667 (multiplicity 1)
Mg 0.6667 0.3333 0.3567 (multiplicity 1)

Copy entry 2 word for word.
This entry pairs a crystal structure of AcPmMg6 with its calculated powder diffractogram. Radiation: a wavelength of 1.5418 Å. Structure: a crystal structure in Alexandria, relaxed with GGA-PBE.

Main lines, sorted by position (15 to 90 degrees two-theta):
- d 4.008, 22.18 deg, intensity 76, hkl 1 1 1
- d 3.873, 22.96 deg, intensity 51, hkl 1 0 2
- d 3.715, 23.95 deg, intensity 26, hkl 0 2 0
- d 3.415, 26.10 deg, intensity 28, hkl 0 1 3
- d 2.681, 33.42 deg, intensity 100, hkl 1 2 2
- d 2.613, 34.32 deg, intensity 27, hkl 2 0 0

Crystal structure
Cell: 5.2261 7.4301 11.5345 Å, 90.00 90.00 90.00°
Space group Amm2 (No. 38)
Unique sites:
Ac 0.0000 0.0000 0.0000 (multiplicity 2)
Pm 0.5000 0.0000 0.7192 (multiplicity 2)
Mg 0.0000 0.0000 0.5338 (multiplicity 2)
Mg 0.0000 0.2145 0.2659 (multiplicity 4)
Mg 0.5000 0.0000 0.1982 (multiplicity 2)
Mg 0.5000 0.2085 0.4538 (multiplicity 4)

What is the formula in the sixth record?
AcPrMg

Which formula does entry 3 have?
Ac2PmMg3Tl6